This entry pairs a crystal structure of AcHf2MnO8 with its simulated powder X-ray diffraction pattern. Radiation: copper Kα. Structure: DFT lattice parameters and positions (PBE+U).
Kinematic intensities with the Lorentz-polarization factor, no thermal factor.

Cell and atoms:
abc: 4.9125 6.7290 4.9128
angles: 90.00 92.70 90.00
Fractional coordinates of all 12 atoms:
Ac: 0.0000 0.0000 0.0000
Hf: 0.5000 0.2627 0.5000
Hf: 0.5000 0.7373 0.5000
Mn: 0.0000 0.5000 0.0000
O: 0.2011 0.3003 0.1994
O: 0.2011 0.6997 0.1994
O: 0.2940 0.5000 0.7050
O: 0.3332 0.0000 0.6647
O: 0.6668 0.0000 0.3353
O: 0.7060 0.5000 0.2950
O: 0.7989 0.3003 0.8006
O: 0.7989 0.6997 0.8006

Most intense lines, 2θ from 5° to 70°, most intense first:
d (Å), intensity
2.775, 100
3.555, 60
3.391, 52
1.863, 41
1.814, 35
2.454, 30
3.965, 22
1.471, 21
1.387, 11
1.507, 10